# 1
Starting from a cell relaxed with PBE, the powder X-ray diffraction pattern of UTi2Fe was calculated for Cu Kα.
Neutral-atom scattering factors, no anomalous dispersion.

Main lines, low angle first (10 to 90 degrees two-theta):
2θ = 11.57°, d = 7.648 Å, I = 56
2θ = 23.26°, d = 3.824 Å, I = 32
2θ = 30.78°, d = 2.905 Å, I = 26
2θ = 32.99°, d = 2.715 Å, I = 48
2θ = 35.20°, d = 2.549 Å, I = 16
2θ = 38.94°, d = 2.313 Å, I = 100
2θ = 44.09°, d = 2.054 Å, I = 39
2θ = 50.43°, d = 1.809 Å, I = 17
2θ = 57.68°, d = 1.598 Å, I = 33
2θ = 64.12°, d = 1.452 Å, I = 13
2θ = 66.85°, d = 1.399 Å, I = 15
2θ = 77.62°, d = 1.230 Å, I = 26

Cell and atoms:
Cell lengths 2.905, 2.905, 7.648 Å; angles 90.00, 90.00, 90.00 degrees
Sites, in units of the cell vectors:
U 0.000 0.000 0.000
Ti 0.500 0.500 0.304
Ti 0.500 0.500 0.696
Fe 0.000 0.000 0.500

---

# 2
Starting from a cell relaxed with PBE, the powder X-ray diffraction pattern of Sr6TlGa2 was calculated for Cu Kα.
Neutral-atom scattering factors, no anomalous dispersion.

Main lines, low angle first (10 to 90 degrees two-theta):
2θ = 15.10°, d = 5.868 Å, I = 19
2θ = 16.41°, d = 5.403 Å, I = 21
2θ = 26.01°, d = 3.425 Å, I = 34
2θ = 27.63°, d = 3.229 Å, I = 100
2θ = 29.32°, d = 3.046 Å, I = 28
2θ = 29.77°, d = 3.001 Å, I = 88
2θ = 30.30°, d = 2.950 Å, I = 48
2θ = 30.47°, d = 2.934 Å, I = 20
2θ = 32.65°, d = 2.743 Å, I = 32
2θ = 33.16°, d = 2.702 Å, I = 32
2θ = 49.39°, d = 1.845 Å, I = 20
2θ = 51.41°, d = 1.777 Å, I = 31

Cell and atoms:
Cell lengths 9.710, 9.710, 9.710 Å; angles 112.38, 110.47, 105.64 degrees
Sites, in units of the cell vectors:
Sr 0.061 0.250 0.811
Sr 0.177 0.273 0.450
Sr 0.177 0.727 0.905
Sr 0.335 0.019 0.685
Sr 0.335 0.650 0.315
Sr 0.439 0.250 0.189
Sr 0.561 0.750 0.811
Sr 0.665 0.350 0.685
Sr 0.665 0.981 0.315
Sr 0.823 0.273 0.095
Sr 0.823 0.727 0.550
Sr 0.939 0.750 0.189
Tl 0.000 0.000 0.000
Tl 0.500 0.500 0.000
Ga 0.108 0.608 0.500
Ga 0.327 0.000 0.327
Ga 0.673 0.000 0.673
Ga 0.892 0.392 0.500

---

# 3
Starting from a cell relaxed with PBE, the powder X-ray diffraction pattern of Pu6NbRh5 was calculated for Cu Kα.
Neutral-atom scattering factors, no anomalous dispersion.

Main lines, low angle first (10 to 90 degrees two-theta):
2θ = 25.47°, d = 3.497 Å, I = 38
2θ = 25.87°, d = 3.444 Å, I = 33
2θ = 26.67°, d = 3.343 Å, I = 27
2θ = 36.11°, d = 2.487 Å, I = 100
2θ = 36.55°, d = 2.459 Å, I = 84
2θ = 37.13°, d = 2.421 Å, I = 84
2θ = 37.33°, d = 2.409 Å, I = 85
2θ = 37.67°, d = 2.388 Å, I = 78
2θ = 37.87°, d = 2.376 Å, I = 77
2θ = 52.33°, d = 1.748 Å, I = 27
2θ = 53.19°, d = 1.722 Å, I = 30
2θ = 67.55°, d = 1.387 Å, I = 33

Cell and atoms:
Cell lengths 4.924, 6.890, 8.188 Å; angles 65.35, 74.22, 88.52 degrees
Sites, in units of the cell vectors:
Pu 0.014 0.248 0.478
Pu 0.349 0.559 0.859
Pu 0.365 0.061 0.840
Pu 0.635 0.939 0.160
Pu 0.651 0.441 0.141
Pu 0.986 0.752 0.522
Nb 0.500 0.500 0.500
Rh 0.106 0.147 0.173
Rh 0.112 0.669 0.200
Rh 0.500 0.000 0.500
Rh 0.888 0.331 0.800
Rh 0.894 0.853 0.827

---

# 4
Starting from a cell relaxed with PBE, the powder X-ray diffraction pattern of Cs5TlS4 was calculated for Cu Kα.
Neutral-atom scattering factors, no anomalous dispersion.

Main lines, low angle first (10 to 90 degrees two-theta):
2θ = 13.53°, d = 6.546 Å, I = 22
2θ = 20.55°, d = 4.322 Å, I = 27
2θ = 21.43°, d = 4.147 Å, I = 60
2θ = 22.19°, d = 4.005 Å, I = 100
2θ = 24.25°, d = 3.671 Å, I = 75
2θ = 27.31°, d = 3.266 Å, I = 100
2θ = 32.58°, d = 2.748 Å, I = 92
2θ = 35.45°, d = 2.532 Å, I = 35
2θ = 37.76°, d = 2.382 Å, I = 23
2θ = 41.80°, d = 2.161 Å, I = 20
2θ = 45.31°, d = 2.001 Å, I = 52
2θ = 47.56°, d = 1.912 Å, I = 41

Cell and atoms:
Cell lengths 10.129, 10.658, 8.294 Å; angles 90.00, 90.00, 90.00 degrees
Sites, in units of the cell vectors:
Cs 0.009 0.057 0.236
Cs 0.009 0.443 0.236
Cs 0.250 0.750 0.355
Cs 0.491 0.057 0.236
Cs 0.491 0.443 0.236
Cs 0.509 0.557 0.764
Cs 0.509 0.943 0.764
Cs 0.750 0.250 0.645
Cs 0.991 0.557 0.764
Cs 0.991 0.943 0.764
Tl 0.250 0.250 0.710
Tl 0.750 0.750 0.290
S 0.033 0.250 0.883
S 0.250 0.044 0.535
S 0.250 0.456 0.535
S 0.467 0.250 0.883
S 0.533 0.750 0.117
S 0.750 0.544 0.465
S 0.750 0.956 0.465
S 0.967 0.750 0.117

---

# 5
Starting from a cell relaxed with PBE, the powder X-ray diffraction pattern of Dy2Ge7Pd12 was calculated for Cu Kα.
Neutral-atom scattering factors, no anomalous dispersion.

Main lines, low angle first (10 to 90 degrees two-theta):
2θ = 34.84°, d = 2.575 Å, I = 8
2θ = 35.37°, d = 2.537 Å, I = 100
2θ = 38.23°, d = 2.354 Å, I = 9
2θ = 40.45°, d = 2.230 Å, I = 7
2θ = 43.47°, d = 2.082 Å, I = 15
2θ = 44.26°, d = 2.046 Å, I = 9
2θ = 46.66°, d = 1.946 Å, I = 27
2θ = 47.15°, d = 1.928 Å, I = 22
2θ = 59.90°, d = 1.544 Å, I = 9
2θ = 68.51°, d = 1.370 Å, I = 18
2θ = 79.17°, d = 1.210 Å, I = 9
2θ = 79.92°, d = 1.200 Å, I = 9

Cell and atoms:
Cell lengths 10.300, 10.300, 3.854 Å; angles 90.00, 90.00, 120.00 degrees
Sites, in units of the cell vectors:
Dy 0.333 0.667 0.255
Dy 0.667 0.333 0.745
Ge 0.000 0.000 0.000
Ge 0.120 0.410 0.751
Ge 0.290 0.880 0.751
Ge 0.410 0.290 0.249
Ge 0.590 0.710 0.751
Ge 0.710 0.120 0.249
Ge 0.880 0.590 0.249
Pd 0.063 0.620 0.749
Pd 0.112 0.853 0.253
Pd 0.147 0.259 0.253
Pd 0.259 0.112 0.747
Pd 0.380 0.443 0.749
Pd 0.443 0.063 0.251
Pd 0.557 0.937 0.749
Pd 0.620 0.557 0.251
Pd 0.741 0.888 0.253
Pd 0.853 0.741 0.747
Pd 0.888 0.147 0.747
Pd 0.937 0.380 0.251

---

# 6
Starting from a cell relaxed with PBE, the powder X-ray diffraction pattern of GdGeSe2 was calculated for Cu Kα.
Neutral-atom scattering factors, no anomalous dispersion.

Main lines, low angle first (10 to 90 degrees two-theta):
2θ = 13.78°, d = 6.424 Å, I = 7
2θ = 24.63°, d = 3.615 Å, I = 8
2θ = 30.57°, d = 2.925 Å, I = 100
2θ = 42.55°, d = 2.125 Å, I = 40
2θ = 44.97°, d = 2.016 Å, I = 36
2θ = 53.29°, d = 1.719 Å, I = 21
2θ = 57.37°, d = 1.606 Å, I = 5
2θ = 63.63°, d = 1.462 Å, I = 12
2θ = 70.47°, d = 1.336 Å, I = 18
2θ = 73.99°, d = 1.281 Å, I = 15
2θ = 77.88°, d = 1.227 Å, I = 7
2θ = 79.58°, d = 1.205 Å, I = 13

Cell and atoms:
Cell lengths 6.877, 6.877, 6.877 Å; angles 35.99, 35.99, 35.99 degrees
Sites, in units of the cell vectors:
Gd 0.000 0.000 0.000
Ge 0.500 0.500 0.500
Se 0.247 0.247 0.247
Se 0.753 0.753 0.753